Tl10CdIn6: computed XRD peak list (Cu Kα, 1.54184 Å), based on a crystal structure in Alexandria, relaxed with GGA-PBE.

Top 12 peaks for 10 to 80 degrees two-theta, sorted by position:
2theta  I_rel
28.70  18
31.87  68
32.64  73
33.33  100
41.93  10
47.34  28
50.31  17
52.60  11
58.68  20
64.63  16
66.76  11
78.23  11

Atomic structure:
```
data_Tl10CdIn6
_chemical_formula_sum 'Tl10 Cd1 In6'
_cell_length_a 9.5039
_cell_length_b 9.5039
_cell_length_c 6.5189
_cell_angle_alpha 90.00
_cell_angle_beta 90.00
_cell_angle_gamma 120.00
_space_group_name_H-M_alt 'P -3 1 m'
_space_group_IT_number 162
_space_group_name_Hall '-P 3 2'
loop_
_atom_site_label
_atom_site_type_symbol
_atom_site_fract_x
_atom_site_fract_y
_atom_site_fract_z
Tl1 Tl 0.0000 0.2663 0.2923
Tl2 Tl 0.3333 0.6667 0.0000
Tl3 Tl 0.3333 0.6667 0.5000
Cd1 Cd 0.0000 0.0000 0.0000
In1 In 0.0000 0.3859 0.7808
```

SrLa8Se12: computed XRD peak list (Cu Kα, 1.54184 Å), based on a crystal structure in Alexandria, relaxed with GGA-PBE.

Top 12 peaks for 10 to 80 degrees two-theta, sorted by position:
2theta  I_rel
23.91  22
31.02  100
36.89  67
44.44  22
46.73  15
48.94  12
51.08  17
62.83  30
64.66  10
66.46  14
71.72  6
76.83  19

Atomic structure:
```
data_SrLa8Se12
_chemical_formula_sum 'Sr4 La32 Se48'
_cell_length_a 12.8874
_cell_length_b 12.8934
_cell_length_c 15.1215
_cell_angle_alpha 90.00
_cell_angle_beta 115.21
_cell_angle_gamma 90.00
_space_group_name_H-M_alt 'C 1 c 1'
_space_group_IT_number 9
loop_
_space_group_symop_operation_xyz
'x,y,z'
'x,-y,z+1/2'
'x+1/2,y+1/2,z'
'x+1/2,-y+1/2,z+1/2'
loop_
_atom_site_label
_atom_site_type_symbol
_atom_site_fract_x
_atom_site_fract_y
_atom_site_fract_z
Sr1 Sr 0.0000 0.1880 0.0000
La1 La 0.0206 0.1231 0.4171
La2 La 0.1265 0.4381 0.5005
La3 La 0.1668 0.3124 0.8331
La4 La 0.1874 0.3757 0.2500
La5 La 0.2940 0.0643 0.3333
La6 La 0.3355 0.1895 0.6673
La7 La 0.3521 0.1275 0.0818
La8 La 0.4581 0.4376 0.1668
Se1 Se 0.0045 0.4996 0.2845
Se2 Se 0.0484 0.1743 0.2198
Se3 Se 0.0700 0.2508 0.6162
Se4 Se 0.1321 0.0734 0.8819
Se5 Se 0.1744 0.0032 0.6189
Se6 Se 0.2137 0.3281 0.0498
Se7 Se 0.2351 0.2485 0.4507
Se8 Se 0.2964 0.4240 0.7173
Se9 Se 0.3351 0.4989 0.9488
Se10 Se 0.3802 0.1763 0.8833
Se11 Se 0.4035 0.2504 0.2794
Se12 Se 0.4622 0.0708 0.5515
```

PmTm12Th5: computed XRD peak list (Cu Kα, 1.54184 Å), based on a crystal structure in Alexandria, relaxed with GGA-PBE.

Top 12 peaks for 10 to 80 degrees two-theta, sorted by position:
2theta  I_rel
11.92  2
25.84  1
31.02  100
35.82  34
36.28  16
51.56  12
51.91  24
61.40  29
62.02  14
64.67  12
75.91  4
77.03  2

Atomic structure:
```
data_PmTm12Th5
_chemical_formula_sum 'Pm2 Tm24 Th10'
_cell_length_a 14.8550
_cell_length_b 15.0410
_cell_length_c 5.0143
_cell_angle_alpha 90.00
_cell_angle_beta 90.00
_cell_angle_gamma 90.00
_space_group_name_H-M_alt 'C m m m'
_space_group_IT_number 65
_space_group_name_Hall '-C 2 2'
loop_
_atom_site_label
_atom_site_type_symbol
_atom_site_fract_x
_atom_site_fract_y
_atom_site_fract_z
Pm1 Pm 0.0000 0.0000 0.0000
Tm1 Tm 0.1644 0.1675 0.0000
Tm2 Tm 0.1639 0.3334 0.5000
Tm3 Tm 0.1641 0.5000 0.0000
Tm4 Tm 0.1664 0.0000 0.5000
Th1 Th 0.0000 0.1682 0.5000
Th2 Th 0.0000 0.3331 0.0000
Th3 Th 0.0000 0.5000 0.5000
```

Cs2AlSnTe4: computed XRD peak list (Cu Kα, 1.54184 Å), based on a crystal structure in Alexandria, relaxed with GGA-PBE.

Top 12 peaks for 10 to 80 degrees two-theta, sorted by position:
2theta  I_rel
21.45  45
23.43  77
26.32  26
26.59  30
26.99  100
32.49  41
34.95  20
39.91  25
42.46  23
42.91  23
43.15  31
45.82  22

Atomic structure:
```
data_Cs2AlSnTe4
_chemical_formula_sum 'Cs16 Al8 Sn8 Te32'
_cell_length_a 6.9988
_cell_length_b 15.7110
_cell_length_c 26.8198
_cell_angle_alpha 90.00
_cell_angle_beta 90.00
_cell_angle_gamma 90.00
_space_group_name_H-M_alt 'F d d d'
_space_group_IT_number 70
loop_
_space_group_symop_operation_xyz
'x,y,z'
'-x,-y,-z'
'-x+1/4,-y+1/4,z'
'x+1/4,y+1/4,-z'
'x,-y+1/4,-z+1/4'
'-x,y+1/4,z+1/4'
'-x+1/4,y,-z+1/4'
'x+1/4,-y,z+1/4'
'x,y+1/2,z+1/2'
'-x,-y+1/2,-z+1/2'
'-x+1/4,-y+3/4,z+1/2'
'x+1/4,y+3/4,-z+1/2'
'x,-y+3/4,-z+3/4'
'-x,y+3/4,z+3/4'
'-x+1/4,y+1/2,-z+3/4'
'x+1/4,-y+1/2,z+3/4'
'x+1/2,y,z+1/2'
'-x+1/2,-y,-z+1/2'
'-x+3/4,-y+1/4,z+1/2'
'x+3/4,y+1/4,-z+1/2'
'x+1/2,-y+1/4,-z+3/4'
'-x+1/2,y+1/4,z+3/4'
'-x+3/4,y,-z+3/4'
'x+3/4,-y,z+3/4'
'x+1/2,y+1/2,z'
'-x+1/2,-y+1/2,-z'
'-x+3/4,-y+3/4,z'
'x+3/4,y+3/4,-z'
'x+1/2,-y+3/4,-z+1/4'
'-x+1/2,y+3/4,z+1/4'
'-x+3/4,y+1/2,-z+1/4'
'x+3/4,-y+1/2,z+1/4'
loop_
_atom_site_label
_atom_site_type_symbol
_atom_site_fract_x
_atom_site_fract_y
_atom_site_fract_z
Cs1 Cs 0.1250 0.1250 0.3079
Al1 Al 0.1250 0.1250 0.6250
Sn1 Sn 0.1250 0.1250 0.1250
Te1 Te 0.0975 0.2781 0.8171
```

Sr2Ga3Au5: computed XRD peak list (Cu Kα, 1.54184 Å), based on a crystal structure in Alexandria, relaxed with GGA-PBE.

Top 12 peaks for 10 to 80 degrees two-theta, sorted by position:
2theta  I_rel
15.01  16
21.73  22
30.61  16
32.77  100
37.05  12
41.42  50
42.40  41
43.60  21
60.01  17
61.70  15
70.08  23
76.22  15

Atomic structure:
```
data_Sr2Ga3Au5
_chemical_formula_sum 'Sr2 Ga3 Au5'
_cell_length_a 4.3602
_cell_length_b 4.3602
_cell_length_c 11.8015
_cell_angle_alpha 90.00
_cell_angle_beta 90.00
_cell_angle_gamma 90.00
_space_group_name_H-M_alt 'P -4 m 2'
_space_group_IT_number 115
loop_
_space_group_symop_operation_xyz
'x,y,z'
'y,-x,-z'
'-x,-y,z'
'-y,x,-z'
'-x,y,z'
'-y,-x,-z'
'x,-y,z'
'y,x,-z'
loop_
_atom_site_label
_atom_site_type_symbol
_atom_site_fract_x
_atom_site_fract_y
_atom_site_fract_z
Sr1 Sr 0.0000 0.5000 0.2466
Ga1 Ga 0.0000 0.5000 0.6278
Ga2 Ga 0.5000 0.5000 0.5000
Au1 Au 0.0000 0.0000 0.0000
Au2 Au 0.0000 0.0000 0.5000
Au3 Au 0.0000 0.5000 0.8426
Au4 Au 0.5000 0.5000 0.0000
```

NdEuSc2: computed XRD peak list (Cu Kα, 1.54184 Å), based on a crystal structure in Alexandria, relaxed with GGA-PBE.

Top 12 peaks for 10 to 80 degrees two-theta, sorted by position:
2theta  I_rel
18.81  24
24.79  25
31.30  100
35.34  36
38.15  14
40.33  15
46.03  11
50.84  13
52.98  22
60.93  29
64.71  11
65.30  11

Atomic structure:
```
data_NdEuSc2
_chemical_formula_sum 'Nd1 Eu1 Sc2'
_cell_length_a 3.5916
_cell_length_b 3.5916
_cell_length_c 9.4358
_cell_angle_alpha 90.00
_cell_angle_beta 90.00
_cell_angle_gamma 90.00
_space_group_name_H-M_alt 'P 4/m m m'
_space_group_IT_number 123
_space_group_name_Hall '-P 4 2'
loop_
_atom_site_label
_atom_site_type_symbol
_atom_site_fract_x
_atom_site_fract_y
_atom_site_fract_z
Nd1 Nd 0.0000 0.0000 0.0000
Eu1 Eu 0.0000 0.0000 0.5000
Sc1 Sc 0.5000 0.5000 0.2387
```

SmNi4SbP2: computed XRD peak list (Cu Kα, 1.54184 Å), based on a crystal structure in Alexandria, relaxed with GGA-PBE.

Top 12 peaks for 10 to 80 degrees two-theta, sorted by position:
2theta  I_rel
22.37  41
32.23  66
33.93  11
39.59  100
45.66  51
47.77  11
51.42  9
52.45  19
56.99  26
66.56  16
67.45  12
72.05  15

Atomic structure:
```
data_SmNi4SbP2
_chemical_formula_sum 'Sm1 Ni4 Sb1 P2'
_cell_length_a 3.9735
_cell_length_b 3.9735
_cell_length_c 7.7662
_cell_angle_alpha 90.00
_cell_angle_beta 90.00
_cell_angle_gamma 90.00
_space_group_name_H-M_alt 'P 4/m m m'
_space_group_IT_number 123
_space_group_name_Hall '-P 4 2'
loop_
_atom_site_label
_atom_site_type_symbol
_atom_site_fract_x
_atom_site_fract_y
_atom_site_fract_z
Sm1 Sm 0.0000 0.0000 0.0000
Ni1 Ni 0.0000 0.5000 0.2906
Sb1 Sb 0.0000 0.0000 0.5000
P1 P 0.5000 0.5000 0.1542
```

Cs3TeS3: computed XRD peak list (Cu Kα, 1.54184 Å), based on a crystal structure in Alexandria, relaxed with GGA-PBE.

Top 12 peaks for 10 to 80 degrees two-theta, sorted by position:
2theta  I_rel
19.20  56
23.04  100
25.38  45
32.02  30
33.58  43
36.28  9
41.12  21
42.55  46
43.34  19
54.06  12
55.92  8
63.44  13

Atomic structure:
```
data_Cs3TeS3
_chemical_formula_sum 'Cs12 Te4 S12'
_cell_length_a 10.6922
_cell_length_b 18.4612
_cell_length_c 7.0201
_cell_angle_alpha 90.00
_cell_angle_beta 90.00
_cell_angle_gamma 90.00
_space_group_name_H-M_alt 'C m c m'
_space_group_IT_number 63
_space_group_name_Hall '-C 2c 2'
loop_
_atom_site_label
_atom_site_type_symbol
_atom_site_fract_x
_atom_site_fract_y
_atom_site_fract_z
Cs1 Cs 0.0000 0.1821 0.2500
Cs2 Cs 0.2258 0.4089 0.2500
Te1 Te 0.0000 0.3331 0.7500
S1 S 0.0000 0.1948 0.7500
S2 S 0.2068 0.4024 0.7500
```

Ba4PrYCu6O14: computed XRD peak list (Cu Kα, 1.54184 Å), based on a crystal structure in Alexandria, relaxed with GGA-PBE.

Top 12 peaks for 10 to 80 degrees two-theta, sorted by position:
2theta  I_rel
22.77  7
32.19  100
32.43  49
39.79  13
45.81  10
46.52  29
57.24  19
57.69  37
67.34  12
67.89  9
77.14  8
77.27  8

Atomic structure:
```
data_Ba4PrYCu6O14
_chemical_formula_sum 'Ba4 Pr1 Y1 Cu6 O14'
_cell_length_a 3.9047
_cell_length_b 3.9047
_cell_length_c 23.7705
_cell_angle_alpha 90.00
_cell_angle_beta 90.00
_cell_angle_gamma 90.00
_space_group_name_H-M_alt 'P -4 m 2'
_space_group_IT_number 115
loop_
_space_group_symop_operation_xyz
'x,y,z'
'y,-x,-z'
'-x,-y,z'
'-y,x,-z'
'-x,y,z'
'-y,-x,-z'
'x,-y,z'
'y,x,-z'
loop_
_atom_site_label
_atom_site_type_symbol
_atom_site_fract_x
_atom_site_fract_y
_atom_site_fract_z
Ba1 Ba 0.0000 0.0000 0.1584
Ba2 Ba 0.0000 0.0000 0.3381
Pr1 Pr 0.0000 0.0000 0.5000
Y1 Y 0.0000 0.0000 0.0000
Cu1 Cu 0.5000 0.5000 0.0731
Cu2 Cu 0.5000 0.5000 0.2481
Cu3 Cu 0.5000 0.5000 0.4222
O1 O 0.0000 0.5000 0.0595
O2 O 0.0000 0.5000 0.2478
O3 O 0.0000 0.5000 0.4353
O4 O 0.0000 0.5000 0.5658
O5 O 0.0000 0.5000 0.9393
O6 O 0.5000 0.5000 0.1690
O7 O 0.5000 0.5000 0.3271
```

Tb5DyTl4: computed XRD peak list (Cu Kα, 1.54184 Å), based on a crystal structure in Alexandria, relaxed with GGA-PBE.

Top 12 peaks for 10 to 80 degrees two-theta, sorted by position:
2theta  I_rel
21.68  39
24.24  94
26.08  33
28.29  32
30.34  65
30.55  77
32.52  30
32.84  35
36.04  100
37.39  60
38.58  29
45.62  57

Atomic structure:
```
data_Tb5DyTl4
_chemical_formula_sum 'Tb10 Dy2 Tl8'
_cell_length_a 8.1307
_cell_length_b 9.3434
_cell_length_c 8.5539
_cell_angle_alpha 90.00
_cell_angle_beta 90.00
_cell_angle_gamma 90.00
_space_group_name_H-M_alt 'P m m n'
_space_group_IT_number 59
loop_
_space_group_symop_operation_xyz
'x,y,z'
'-x,-y,-z'
'-x+1/2,-y+1/2,z'
'x+1/2,y+1/2,-z'
'x+1/2,-y,-z'
'-x+1/2,y,z'
'-x,y+1/2,-z'
'x,-y+1/2,z'
loop_
_atom_site_label
_atom_site_type_symbol
_atom_site_fract_x
_atom_site_fract_y
_atom_site_fract_z
Tb1 Tb 0.0103 0.0552 0.2287
Tb2 Tb 0.2500 0.2500 0.5820
Dy1 Dy 0.2500 0.7500 0.1796
Tl1 Tl 0.0773 0.2500 0.9378
Tl2 Tl 0.2500 0.5841 0.5009
```

PmMgIn3: computed XRD peak list (Cu Kα, 1.54184 Å), based on a crystal structure in Alexandria, relaxed with GGA-PBE.

Top 12 peaks for 10 to 80 degrees two-theta, sorted by position:
2theta  I_rel
29.20  21
30.49  17
32.27  100
32.90  33
35.72  84
36.69  42
47.68  20
50.09  20
50.94  16
61.63  18
63.77  30
64.40  16

Atomic structure:
```
data_PmMgIn3
_chemical_formula_sum 'Pm4 Mg4 In12'
_cell_length_a 3.5854
_cell_length_b 29.2841
_cell_length_c 4.8991
_cell_angle_alpha 90.00
_cell_angle_beta 90.00
_cell_angle_gamma 90.00
_space_group_name_H-M_alt 'C m c m'
_space_group_IT_number 63
_space_group_name_Hall '-C 2c 2'
loop_
_atom_site_label
_atom_site_type_symbol
_atom_site_fract_x
_atom_site_fract_y
_atom_site_fract_z
Pm1 Pm 0.0000 0.0768 0.2500
Mg1 Mg 0.0000 0.2164 0.7500
In1 In 0.0000 0.3162 0.7500
In2 In 0.0000 0.3729 0.2500
In3 In 0.0000 0.4744 0.2500
```

KLiSiAu2: computed XRD peak list (Cu Kα, 1.54184 Å), based on a crystal structure in Alexandria, relaxed with GGA-PBE.

Top 12 peaks for 10 to 80 degrees two-theta, sorted by position:
2theta  I_rel
17.58  83
25.82  48
31.41  100
35.60  23
36.83  42
41.09  41
44.49  24
52.15  31
56.35  17
61.33  15
62.98  28
65.55  16

Atomic structure:
```
data_KLiSiAu2
_chemical_formula_sum 'K1 Li1 Si1 Au2'
_cell_length_a 4.8804
_cell_length_b 4.8804
_cell_length_c 5.0443
_cell_angle_alpha 90.00
_cell_angle_beta 90.00
_cell_angle_gamma 90.00
_space_group_name_H-M_alt 'P 4/m m m'
_space_group_IT_number 123
_space_group_name_Hall '-P 4 2'
loop_
_atom_site_label
_atom_site_type_symbol
_atom_site_fract_x
_atom_site_fract_y
_atom_site_fract_z
K1 K 0.0000 0.0000 0.0000
Li1 Li 0.5000 0.5000 0.0000
Si1 Si 0.5000 0.5000 0.5000
Au1 Au 0.0000 0.5000 0.5000
```